Diffraction record for Ta4IrOs6. The powder XRD pattern is simulated, not measured: it uses a PBE-relaxed structure and Cu Ka.
Kinematic intensities with the Lorentz-polarization factor, no thermal factor.

Top 10 peaks for 2θ = 10–90°, sorted by position:
hkl 0 4 0, 20.26°, I = 36
hkl 2 2 1, 28.32°, I = 100
hkl 3 3 1, 37.83°, I = 49
hkl 2 6 1, 40.83°, I = 46
hkl 0 8 0, 41.20°, I = 63
hkl 0 4 2, 41.52°, I = 62
hkl 2 2 2, 42.42°, I = 49
hkl 4 4 0, 44.72°, I = 86
hkl 3 7 1, 50.57°, I = 24
hkl 2 6 2, 52.10°, I = 23

Structural model:
Unit cell a=9.143 b=17.530 c=5.009 alpha=90.00 beta=90.00 gamma=90.00
Space group Ccce (No. 68, origin choice 2)
Unique sites:
Ta (0.125, 0.131, 0.035)
Ir (0.000, 0.250, 0.250)
Os (0.000, 0.020, 0.750)
Os (0.197, 0.250, 0.750)
Os (0.250, 0.000, 0.001)

---

Diffraction record for TcIr5Os2. The powder XRD pattern is simulated, not measured: it uses a PBE-relaxed structure and Cu Ka.
Kinematic intensities with the Lorentz-polarization factor, no thermal factor.

Top 10 peaks for 2θ = 10–90°, sorted by position:
hkl 2 1 3, 38.78°, I = 100
hkl 2 0 4, 42.08°, I = 5
hkl 3 1 0, 43.47°, I = 40
hkl 0 0 6, 48.18°, I = 13
hkl 4 0 0, 55.91°, I = 17
hkl 4 2 0, 63.20°, I = 8
hkl 3 1 6, 66.89°, I = 14
hkl 4 0 6, 76.82°, I = 8
hkl 4 4 0, 83.02°, I = 22
hkl 2 1 9, 83.50°, I = 11

Structural model:
Unit cell a=6.583 b=6.583 c=11.332 alpha=90.00 beta=90.00 gamma=90.00
Space group I4/mcm (No. 140)
Unique sites:
Tc (0.000, 0.000, 0.250)
Ir (0.000, 0.000, 0.000)
Ir (0.146, 0.354, 0.171)
Os (0.135, 0.365, 0.500)

---

Diffraction record for Tc2Ir2Os. The powder XRD pattern is simulated, not measured: it uses a PBE-relaxed structure and Cu Ka.
Kinematic intensities with the Lorentz-polarization factor, no thermal factor.

Top 10 peaks for 2θ = 10–90°, sorted by position:
hkl 3 1 -1, 40.40°, I = 100
hkl 0 2 0, 46.82°, I = 16
hkl 2 0 1, 47.03°, I = 16
hkl 4 0 -3, 47.15°, I = 16
hkl 4 2 -3, 68.58°, I = 21
hkl 6 0 -2, 68.80°, I = 5
hkl 3 3 -1, 82.53°, I = 13
hkl 5 1 0, 82.82°, I = 12
hkl 7 1 -4, 83.00°, I = 12
hkl 6 2 -2, 87.36°, I = 11

Structural model:
Unit cell a=8.624 b=3.881 c=6.098 alpha=90.00 beta=134.90 gamma=90.00
Space group C2/m (No. 12)
Unique sites:
Tc (0.104, 0.000, 0.304)
Ir (0.204, 0.500, 0.105)
Os (0.000, 0.500, 0.500)

---

Diffraction record for TcIr4Os. The powder XRD pattern is simulated, not measured: it uses a PBE-relaxed structure and Cu Ka.
Kinematic intensities with the Lorentz-polarization factor, no thermal factor.

Top 10 peaks for 2θ = 10–90°, sorted by position:
hkl 0 6 1, 39.11°, I = 28
hkl 1 3 1, 39.25°, I = 55
hkl 0 0 4, 40.73°, I = 56
hkl 0 6 2, 43.07°, I = 51
hkl 1 3 2, 43.20°, I = 100
hkl 1 3 3, 49.21°, I = 29
hkl 0 6 5, 65.70°, I = 19
hkl 1 9 0, 68.18°, I = 24
hkl 0 6 6, 75.82°, I = 29
hkl 1 9 4, 82.56°, I = 29

Structural model:
Unit cell a=2.741 b=14.312 c=8.861 alpha=90.00 beta=90.00 gamma=90.00
Space group Cmc2_1 (No. 36)
Unique sites:
Tc (0.000, 0.164, 0.000)
Ir (0.000, 0.057, 0.250)
Ir (0.000, 0.174, 0.497)
Ir (0.000, 0.388, 0.249)
Ir (0.000, 0.499, 0.501)
Os (0.000, 0.277, 0.750)

---

- Which formula does entry 1 have?
  Ta4IrOs6